# MnIrW4
Calculated powder XRD pattern, Cu Kα X-rays. Input: the PBE geometry in Alexandria.

Crystal structure
```
MnIrW4
1.0
0.000 3.678 3.678
3.678 0.000 3.678
3.678 3.678 0.000
Mn Ir W
1 1 4
direct
0.000 0.000 0.000 Mn
0.250 0.250 0.250 Ir
0.121 0.626 0.626 W
0.626 0.121 0.626 W
0.626 0.626 0.121 W
0.626 0.626 0.626 W
```

The 10 most intense peaks (15 to 90 degrees two-theta), in order of rising 2θ:
20.9°, I 26.0; 34.5°, I 16.1; 40.7°, I 100.0; 42.6°, I 54.1; 49.6°, I 11.2; 54.4°, I 7.2; 66.0°, I 32.6; 72.7°, I 29.0; 86.8°, I 11.8; 88.1°, I 21.4

=====

# Li5Ca2Ag5
Calculated powder XRD pattern, Cu Kα X-rays. Input: the PBE geometry in Alexandria.

Crystal structure
```
Li5Ca2Ag5
1.0
4.589 0.000 0.000
0.000 5.399 0.000
0.000 0.000 9.855
Li Ca Ag
5 2 5
direct
0.000 0.000 0.000 Li
0.000 0.252 0.256 Li
0.000 0.252 0.744 Li
0.000 0.748 0.256 Li
0.000 0.748 0.744 Li
0.500 0.000 0.500 Ca
0.500 0.500 0.000 Ca
0.000 0.500 0.500 Ag
0.500 0.000 0.169 Ag
0.500 0.000 0.831 Ag
0.500 0.500 0.321 Ag
0.500 0.500 0.679 Ag
```

The 10 most intense peaks (15 to 90 degrees two-theta), in order of rising 2θ:
18.7°, I 39.6; 19.3°, I 51.9; 26.5°, I 22.1; 31.9°, I 32.0; 33.2°, I 33.8; 37.6°, I 100.0; 38.7°, I 21.0; 39.3°, I 23.8; 62.2°, I 21.0; 70.1°, I 19.3

=====

# Tb5Sm2Sc2
Calculated powder XRD pattern, Cu Kα X-rays. Input: the PBE geometry in Alexandria.

Crystal structure
```
Tb5Sm2Sc2
1.0
7.429 -2.476 0.000
7.429 2.476 0.000
-2.483 0.000 7.472
Tb Sm Sc
5 2 2
direct
0.000 0.000 0.000 Tb
0.220 0.220 0.335 Tb
0.335 0.335 0.998 Tb
0.665 0.665 0.002 Tb
0.780 0.780 0.665 Tb
0.108 0.108 0.665 Sm
0.892 0.892 0.335 Sm
0.444 0.444 0.663 Sc
0.556 0.556 0.337 Sc
```

The 10 most intense peaks (15 to 90 degrees two-theta), in order of rising 2θ:
31.2°, I 100.0; 36.1°, I 16.8; 36.3°, I 33.1; 52.1°, I 23.4; 52.2°, I 11.6; 61.8°, I 13.9; 62.1°, I 27.3; 65.1°, I 11.8; 85.2°, I 11.4; 85.4°, I 5.9

=====

# Ta2Se4I3
Calculated powder XRD pattern, Cu Kα X-rays. Input: the PBE geometry in Alexandria.

Crystal structure
```
Ta2Se4I3
1.0
9.287 -5.704 0.000
9.287 5.704 0.000
-0.132 0.000 6.560
Ta Se I
4 8 6
direct
0.148 0.346 0.008 Ta
0.346 0.148 0.508 Ta
0.654 0.852 0.492 Ta
0.852 0.654 0.992 Ta
0.077 0.591 0.152 Se
0.109 0.254 0.331 Se
0.254 0.109 0.831 Se
0.409 0.923 0.348 Se
0.591 0.077 0.652 Se
0.746 0.891 0.169 Se
0.891 0.746 0.669 Se
0.923 0.409 0.848 Se
0.002 0.998 0.750 I
0.271 0.427 0.682 I
0.427 0.271 0.182 I
0.573 0.729 0.818 I
0.729 0.573 0.318 I
0.998 0.002 0.250 I
```

The 10 most intense peaks (15 to 90 degrees two-theta), in order of rising 2θ:
15.5°, I 39.4; 16.3°, I 47.5; 16.4°, I 39.9; 27.6°, I 35.8; 28.7°, I 51.3; 30.9°, I 100.0; 33.1°, I 40.4; 36.7°, I 53.0; 43.6°, I 43.6; 48.2°, I 29.6

=====

# Al2Cu3Se6
Calculated powder XRD pattern, Cu Kα X-rays. Input: the PBE geometry in Alexandria.

Crystal structure
```
Al2Cu3Se6
1.0
-2.734 2.734 16.777
2.734 -2.734 16.777
2.734 2.734 -16.777
Al Cu Se
4 6 12
direct
0.170 0.170 0.000 Al
0.580 0.080 0.500 Al
0.830 0.830 0.000 Al
0.920 0.420 0.500 Al
0.000 0.000 0.000 Cu
0.081 0.581 0.500 Cu
0.331 0.331 0.000 Cu
0.419 0.919 0.500 Cu
0.669 0.669 0.000 Cu
0.750 0.250 0.500 Cu
0.054 0.031 0.506 Se
0.128 0.625 0.003 Se
0.225 0.219 0.523 Se
0.298 0.775 0.994 Se
0.375 0.378 0.503 Se
0.452 0.946 0.977 Se
0.525 0.548 0.494 Se
0.622 0.125 0.997 Se
0.696 0.702 0.477 Se
0.781 0.304 0.006 Se
0.875 0.872 0.497 Se
0.969 0.475 0.023 Se
```

The 10 most intense peaks (15 to 90 degrees two-theta), in order of rising 2θ:
18.1°, I 9.6; 28.1°, I 100.0; 46.5°, I 43.8; 47.0°, I 21.4; 54.7°, I 14.5; 55.6°, I 28.2; 68.7°, I 6.5; 74.9°, I 11.2; 85.8°, I 6.6; 87.0°, I 13.4

=====

# KPb2C2O6
Calculated powder XRD pattern, Cu Kα X-rays. Input: the PBE geometry in Alexandria.

Crystal structure
```
KPb2C2O6
1.0
4.858 0.000 0.000
-1.698 6.011 0.000
-0.589 -2.975 6.413
K Pb C O
1 2 2 6
direct
0.000 0.000 0.000 K
0.165 0.370 0.635 Pb
0.835 0.630 0.365 Pb
0.497 0.982 0.700 C
0.503 0.018 0.300 C
0.221 0.968 0.655 O
0.306 0.809 0.195 O
0.440 0.223 0.359 O
0.560 0.777 0.641 O
0.694 0.191 0.805 O
0.779 0.032 0.345 O
```

The 10 most intense peaks (15 to 90 degrees two-theta), in order of rising 2θ:
21.4°, I 90.4; 23.5°, I 78.2; 25.5°, I 100.0; 27.3°, I 63.0; 29.3°, I 51.7; 30.5°, I 69.3; 31.0°, I 74.8; 32.6°, I 65.3; 33.0°, I 49.0; 37.3°, I 60.5

=====

# Mg2PSe
Calculated powder XRD pattern, Cu Kα X-rays. Input: the PBE geometry in Alexandria.

Crystal structure
```
Mg2PSe
1.0
4.308 0.000 0.000
2.114 3.769 0.000
2.145 1.208 12.142
Mg P Se
4 2 2
direct
0.000 0.000 0.000 Mg
0.183 0.160 0.441 Mg
0.426 0.419 0.721 Mg
0.688 0.655 0.229 Mg
0.041 0.010 0.207 P
0.865 0.840 0.384 P
0.113 0.104 0.658 Se
0.356 0.356 0.937 Se
```

The 10 most intense peaks (15 to 90 degrees two-theta), in order of rising 2θ:
22.0°, I 73.4; 23.8°, I 100.0; 25.5°, I 83.4; 25.7°, I 76.8; 25.9°, I 82.6; 26.7°, I 65.8; 29.4°, I 98.6; 31.0°, I 55.6; 41.4°, I 74.9; 47.8°, I 53.4

=====

# TbTm5Sc
Calculated powder XRD pattern, Cu Kα X-rays. Input: the PBE geometry in Alexandria.

Crystal structure
```
TbTm5Sc
1.0
9.032 0.000 0.000
0.000 3.533 0.000
-2.746 0.000 13.152
Tb Tm Sc
2 10 2
direct
0.115 0.250 0.138 Tb
0.885 0.750 0.862 Tb
0.006 0.750 0.366 Tm
0.201 0.250 0.887 Tm
0.325 0.250 0.507 Tm
0.348 0.750 0.723 Tm
0.419 0.750 0.083 Tm
0.581 0.250 0.917 Tm
0.652 0.250 0.277 Tm
0.675 0.750 0.493 Tm
0.799 0.750 0.113 Tm
0.994 0.250 0.634 Tm
0.353 0.750 0.308 Sc
0.647 0.250 0.692 Sc
```

The 10 most intense peaks (15 to 90 degrees two-theta), in order of rising 2θ:
26.9°, I 33.7; 30.4°, I 33.5; 31.4°, I 96.5; 32.3°, I 56.0; 32.5°, I 100.0; 32.6°, I 48.8; 32.8°, I 70.1; 33.0°, I 37.7; 33.6°, I 52.7; 34.1°, I 52.0

=====

# Y2In3Br9
Calculated powder XRD pattern, Cu Kα X-rays. Input: the PBE geometry in Alexandria.

Crystal structure
```
Y2In3Br9
1.0
6.905 3.986 6.506
-6.905 3.986 6.506
0.000 -7.973 6.506
Y In Br
4 6 18
direct
0.146 0.146 0.146 Y
0.354 0.354 0.354 Y
0.646 0.646 0.646 Y
0.854 0.854 0.854 Y
0.029 0.750 0.471 In
0.250 0.529 0.971 In
0.471 0.029 0.750 In
0.529 0.971 0.250 In
0.750 0.471 0.029 In
0.971 0.250 0.529 In
0.067 0.281 0.923 Br
0.077 0.933 0.719 Br
0.096 0.404 0.250 Br
0.219 0.433 0.577 Br
0.250 0.096 0.404 Br
0.281 0.923 0.067 Br
0.404 0.250 0.096 Br
0.423 0.781 0.567 Br
0.433 0.577 0.219 Br
0.567 0.423 0.781 Br
0.577 0.219 0.433 Br
0.596 0.750 0.904 Br
0.719 0.077 0.933 Br
0.750 0.904 0.596 Br
0.781 0.567 0.423 Br
0.904 0.596 0.750 Br
0.923 0.067 0.281 Br
0.933 0.719 0.077 Br
```

The 10 most intense peaks (15 to 90 degrees two-theta), in order of rising 2θ:
20.2°, I 17.2; 27.4°, I 30.6; 29.3°, I 100.0; 33.0°, I 17.1; 37.6°, I 13.2; 38.0°, I 36.2; 40.2°, I 15.1; 45.5°, I 15.6; 49.6°, I 26.2; 54.5°, I 10.7

=====

# TmSe
Calculated powder XRD pattern, Cu Kα X-rays. Input: the PBE geometry in Alexandria.

Crystal structure
```
TmSe
1.0
5.680 0.000 0.000
0.000 5.680 0.000
0.000 0.000 5.680
Tm Se
4 4
direct
0.000 0.000 0.000 Tm
0.000 0.500 0.500 Tm
0.500 0.000 0.500 Tm
0.500 0.500 0.000 Tm
0.000 0.000 0.500 Se
0.000 0.500 0.000 Se
0.500 0.000 0.000 Se
0.500 0.500 0.500 Se
```

The 10 most intense peaks (15 to 90 degrees two-theta), in order of rising 2θ:
27.2°, I 24.1; 31.5°, I 100.0; 45.1°, I 73.9; 53.5°, I 11.9; 56.1°, I 25.9; 65.8°, I 12.0; 72.5°, I 4.9; 74.7°, I 33.3; 83.3°, I 25.4; 89.7°, I 4.0